Record 1
Structure and simulated powder X-ray diffraction pattern of Ac2LaTb2 (the PBE geometry in Alexandria; copper Kα).
Peak positions follow from Bragg's law for the DFT cell and can differ from measured ones.

Structure:
Lattice parameters (Å, degrees): 9.588 9.588 6.567 106.37 106.37 41.58
Sites, in units of the cell vectors:
Ac1 0.043 0.343 0.196
Ac2 0.343 0.043 0.696
Ac3 0.657 0.957 0.304
Ac4 0.957 0.657 0.804
La1 0.079 0.921 0.750
La2 0.921 0.079 0.250
Tb1 0.296 0.530 0.340
Tb2 0.470 0.704 0.160
Tb3 0.530 0.296 0.840
Tb4 0.704 0.470 0.660

Largest 10 diffraction maxima, in order of rising 2θ, 2θ = 5–70°:
| 2theta | Rel. int. |
| --- | --- |
| 27.2 | 25.1 |
| 27.5 | 29.9 |
| 28.5 | 34.8 |
| 28.9 | 70.2 |
| 29.2 | 59.8 |
| 29.9 | 100.0 |
| 35.1 | 29.8 |
| 36.0 | 23.8 |
| 52.7 | 19.8 |
| 58.2 | 17.8 |

***

Record 2
Structure and simulated powder X-ray diffraction pattern of Ac5La2Tb2 (the PBE geometry in Alexandria; copper Kα).
Peak positions follow from Bragg's law for the DFT cell and can differ from measured ones.

Structure:
Lattice parameters (Å, degrees): 5.430 6.671 11.514 95.24 103.50 113.97
Sites, in units of the cell vectors:
Ac1 0.000 0.000 0.000
Ac2 0.112 0.780 0.445
Ac3 0.222 0.558 0.886
Ac4 0.778 0.442 0.114
Ac5 0.888 0.220 0.555
La1 0.333 0.334 0.331
La2 0.667 0.666 0.669
Tb1 0.444 0.113 0.775
Tb2 0.556 0.887 0.225

Largest 10 diffraction maxima, in order of rising 2θ, 2θ = 5–70°:
| 2theta | Rel. int. |
| --- | --- |
| 28.4 | 100.0 |
| 28.4 | 99.4 |
| 32.8 | 34.6 |
| 33.0 | 67.7 |
| 47.1 | 25.5 |
| 47.3 | 25.3 |
| 55.9 | 23.2 |
| 56.1 | 15.3 |
| 56.2 | 38.0 |
| 58.8 | 19.9 |

***

Record 3
Structure and simulated powder X-ray diffraction pattern of Ac2La5Tb3 (the PBE geometry in Alexandria; copper Kα).
Peak positions follow from Bragg's law for the DFT cell and can differ from measured ones.

Structure:
Lattice parameters (Å, degrees): 9.266 9.266 10.633 108.45 108.45 105.76
Sites, in units of the cell vectors:
Ac1 0.029 0.283 0.056
Ac2 0.283 0.029 0.556
Ac3 0.717 0.971 0.444
Ac4 0.971 0.717 0.944
La1 0.025 0.975 0.750
La2 0.120 0.376 0.746
La3 0.236 0.764 0.750
La4 0.376 0.120 0.246
La5 0.487 0.513 0.250
La6 0.513 0.487 0.750
La7 0.624 0.880 0.754
La8 0.764 0.236 0.250
La9 0.880 0.624 0.254
La10 0.975 0.025 0.250
Tb1 0.225 0.476 0.441
Tb2 0.273 0.727 0.250
Tb3 0.476 0.225 0.941
Tb4 0.524 0.775 0.059
Tb5 0.727 0.273 0.750
Tb6 0.775 0.524 0.559

Largest 10 diffraction maxima, in order of rising 2θ, 2θ = 5–70°:
| 2theta | Rel. int. |
| --- | --- |
| 28.1 | 100.0 |
| 30.6 | 91.6 |
| 31.3 | 25.3 |
| 32.0 | 72.4 |
| 33.7 | 30.4 |
| 45.3 | 18.2 |
| 45.9 | 18.1 |
| 47.7 | 21.3 |
| 58.6 | 23.1 |
| 59.2 | 29.8 |

***

Record 4
Structure and simulated powder X-ray diffraction pattern of AcLa5Tb2 (the PBE geometry in Alexandria; copper Kα).
Peak positions follow from Bragg's law for the DFT cell and can differ from measured ones.

Structure:
Lattice parameters (Å, degrees): 9.642 9.642 9.642 124.05 124.05 83.12
Sites, in units of the cell vectors:
Ac1 0.250 0.250 0.000
Ac2 0.750 0.750 0.000
La1 0.000 0.000 0.000
La2 0.013 0.513 0.202
La3 0.189 0.987 0.500
La4 0.311 0.811 0.798
La5 0.487 0.689 0.500
La6 0.500 0.500 0.000
La7 0.513 0.311 0.500
La8 0.689 0.189 0.202
La9 0.811 0.013 0.500
La10 0.987 0.487 0.798
Tb1 0.144 0.356 0.500
Tb2 0.356 0.856 0.212
Tb3 0.644 0.144 0.788
Tb4 0.856 0.644 0.500

Largest 10 diffraction maxima, in order of rising 2θ, 2θ = 5–70°:
| 2theta | Rel. int. |
| --- | --- |
| 27.9 | 11.1 |
| 28.4 | 14.6 |
| 28.8 | 100.0 |
| 31.3 | 65.7 |
| 31.7 | 12.8 |
| 40.2 | 11.7 |
| 55.8 | 11.9 |
| 57.8 | 11.2 |
| 58.2 | 21.4 |
| 62.3 | 10.8 |

***

Record 5
Structure and simulated powder X-ray diffraction pattern of Ac4LaTb (the PBE geometry in Alexandria; copper Kα).
Peak positions follow from Bragg's law for the DFT cell and can differ from measured ones.

Structure:
Lattice parameters (Å, degrees): 12.930 12.930 12.930 151.84 41.30 150.42
Sites, in units of the cell vectors:
Ac1 0.103 0.432 0.671
Ac2 0.138 0.052 0.086
Ac3 0.261 0.432 0.829
Ac4 0.466 0.052 0.414
Ac5 0.534 0.948 0.586
Ac6 0.739 0.568 0.171
Ac7 0.862 0.948 0.914
Ac8 0.897 0.568 0.329
La1 0.000 0.500 0.500
La2 0.500 0.500 0.000
Tb1 0.332 0.082 0.250
Tb2 0.668 0.918 0.750

Largest 10 diffraction maxima, in order of rising 2θ, 2θ = 5–70°:
| 2theta | Rel. int. |
| --- | --- |
| 27.0 | 19.5 |
| 28.4 | 32.5 |
| 29.6 | 100.0 |
| 30.8 | 24.8 |
| 39.6 | 14.4 |
| 45.0 | 8.9 |
| 51.0 | 22.5 |
| 54.0 | 10.5 |
| 57.7 | 8.1 |
| 61.4 | 7.6 |

***

Record 6
Structure and simulated powder X-ray diffraction pattern of AcLa5Tb8 (the PBE geometry in Alexandria; copper Kα).
Peak positions follow from Bragg's law for the DFT cell and can differ from measured ones.

Structure:
Lattice parameters (Å, degrees): 9.084 9.084 17.136 117.62 117.62 22.92
Sites, in units of the cell vectors:
Ac1 0.000 0.000 0.000
La1 0.144 0.144 0.441
La2 0.217 0.217 0.147
La3 0.500 0.500 0.500
La4 0.783 0.783 0.853
La5 0.856 0.856 0.559
Tb1 0.078 0.078 0.721
Tb2 0.283 0.283 0.355
Tb3 0.353 0.353 0.064
Tb4 0.422 0.422 0.774
Tb5 0.578 0.578 0.226
Tb6 0.647 0.647 0.936
Tb7 0.717 0.717 0.645
Tb8 0.922 0.922 0.279

Largest 10 diffraction maxima, in order of rising 2θ, 2θ = 5–70°:
| 2theta | Rel. int. |
| --- | --- |
| 29.4 | 76.9 |
| 30.4 | 100.0 |
| 30.6 | 95.0 |
| 30.8 | 92.8 |
| 31.9 | 85.8 |
| 32.2 | 89.5 |
| 40.6 | 28.4 |
| 47.0 | 37.5 |
| 56.3 | 34.5 |
| 60.2 | 29.0 |

***

Record 7
Structure and simulated powder X-ray diffraction pattern of AcLa5Tb3 (the PBE geometry in Alexandria; copper Kα).
Peak positions follow from Bragg's law for the DFT cell and can differ from measured ones.

Structure:
Lattice parameters (Å, degrees): 7.555 7.555 11.480 90.13 90.13 95.14
Sites, in units of the cell vectors:
Ac1 0.189 0.811 0.750
Ac2 0.811 0.189 0.250
La1 0.176 0.432 0.452
La2 0.207 0.513 0.024
La3 0.432 0.176 0.952
La4 0.487 0.793 0.476
La5 0.494 0.506 0.250
La6 0.506 0.494 0.750
La7 0.513 0.207 0.524
La8 0.568 0.824 0.048
La9 0.793 0.487 0.976
La10 0.824 0.568 0.548
Tb1 0.000 0.000 0.000
Tb2 0.000 0.000 0.500
Tb3 0.049 0.295 0.752
Tb4 0.295 0.049 0.252
Tb5 0.705 0.951 0.748
Tb6 0.951 0.705 0.248

Largest 10 diffraction maxima, in order of rising 2θ, 2θ = 5–70°:
| 2theta | Rel. int. |
| --- | --- |
| 24.9 | 18.8 |
| 28.3 | 24.7 |
| 28.6 | 49.2 |
| 29.9 | 100.0 |
| 31.2 | 45.0 |
| 31.6 | 64.9 |
| 33.4 | 35.6 |
| 36.7 | 27.3 |
| 53.7 | 16.5 |
| 66.9 | 14.9 |

***

Record 8
Structure and simulated powder X-ray diffraction pattern of AcLa4Tb2Tm (the PBE geometry in Alexandria; copper Kα).
Peak positions follow from Bragg's law for the DFT cell and can differ from measured ones.

Structure:
Lattice parameters (Å, degrees): 11.612 5.250 10.540 90.00 116.98 90.00
Sites, in units of the cell vectors:
Ac1 0.000 0.000 0.000
Ac2 0.500 0.500 0.000
La1 0.246 0.000 0.868
La2 0.248 0.500 0.622
La3 0.252 0.000 0.378
La4 0.254 0.500 0.132
La5 0.746 0.500 0.868
La6 0.748 0.000 0.622
La7 0.752 0.500 0.378
La8 0.754 0.000 0.132
Tb1 0.001 0.500 0.743
Tb2 0.499 0.000 0.257
Tb3 0.501 0.000 0.743
Tb4 0.999 0.500 0.257
Tm1 0.000 0.000 0.500
Tm2 0.500 0.500 0.500

Largest 10 diffraction maxima, in order of rising 2θ, 2θ = 5–70°:
| 2theta | Rel. int. |
| --- | --- |
| 29.6 | 100.0 |
| 34.0 | 17.2 |
| 34.2 | 17.2 |
| 34.7 | 16.5 |
| 49.0 | 12.4 |
| 49.5 | 12.1 |
| 58.2 | 14.6 |
| 58.4 | 14.8 |
| 59.0 | 14.3 |
| 61.4 | 12.5 |

***

Record 9
Structure and simulated powder X-ray diffraction pattern of AcLa5TbY2 (the PBE geometry in Alexandria; copper Kα).
Peak positions follow from Bragg's law for the DFT cell and can differ from measured ones.

Structure:
Lattice parameters (Å, degrees): 8.067 8.067 10.420 90.00 90.00 90.00
Sites, in units of the cell vectors:
Ac1 0.000 0.000 0.000
Ac2 0.500 0.500 0.000
La1 0.000 0.000 0.500
La2 0.197 0.303 0.245
La3 0.197 0.303 0.755
La4 0.303 0.803 0.245
La5 0.303 0.803 0.755
La6 0.500 0.500 0.500
La7 0.697 0.197 0.245
La8 0.697 0.197 0.755
La9 0.803 0.697 0.245
La10 0.803 0.697 0.755
Tb1 0.000 0.500 0.000
Tb2 0.500 0.000 0.000
Y1 0.130 0.630 0.500
Y2 0.370 0.130 0.500
Y3 0.630 0.870 0.500
Y4 0.870 0.370 0.500

Largest 10 diffraction maxima, in order of rising 2θ, 2θ = 5–70°:
| 2theta | Rel. int. |
| --- | --- |
| 28.0 | 100.0 |
| 30.1 | 38.9 |
| 31.4 | 31.3 |
| 34.4 | 25.7 |
| 35.2 | 12.5 |
| 47.3 | 20.1 |
| 49.8 | 12.7 |
| 53.8 | 15.0 |
| 57.8 | 16.4 |
| 59.0 | 12.6 |

***

Record 10
Structure and simulated powder X-ray diffraction pattern of AcLaTbY2 (the PBE geometry in Alexandria; copper Kα).
Peak positions follow from Bragg's law for the DFT cell and can differ from measured ones.

Structure:
Lattice parameters (Å, degrees): 6.437 5.922 9.907 90.00 108.83 90.00
Sites, in units of the cell vectors:
Ac1 0.071 0.250 0.304
Ac2 0.929 0.750 0.696
La1 0.137 0.750 0.097
La2 0.863 0.250 0.903
Tb1 0.336 0.750 0.502
Tb2 0.664 0.250 0.498
Y1 0.276 0.250 0.703
Y2 0.468 0.250 0.098
Y3 0.532 0.750 0.902
Y4 0.724 0.750 0.297

Largest 10 diffraction maxima, in order of rising 2θ, 2θ = 5–70°:
| 2theta | Rel. int. |
| --- | --- |
| 27.5 | 23.0 |
| 27.7 | 11.9 |
| 30.2 | 37.1 |
| 31.5 | 100.0 |
| 31.6 | 49.1 |
| 41.3 | 15.5 |
| 48.9 | 19.3 |
| 54.4 | 21.3 |
| 58.2 | 11.7 |
| 58.6 | 22.5 |

***

Record 11
Structure and simulated powder X-ray diffraction pattern of Ac2La2Te5 (the PBE geometry in Alexandria; copper Kα).
Peak positions follow from Bragg's law for the DFT cell and can differ from measured ones.

Structure:
Lattice parameters (Å, degrees): 8.958 8.958 6.890 105.83 105.83 36.74
Sites, in units of the cell vectors:
Ac1 0.091 0.091 0.358
Ac2 0.909 0.909 0.642
La1 0.308 0.308 0.191
La2 0.692 0.692 0.809
Te1 0.111 0.111 0.891
Te2 0.292 0.292 0.686
Te3 0.500 0.500 0.500
Te4 0.708 0.708 0.314
Te5 0.889 0.889 0.109

Largest 10 diffraction maxima, in order of rising 2θ, 2θ = 5–70°:
| 2theta | Rel. int. |
| --- | --- |
| 16.6 | 8.2 |
| 31.7 | 100.0 |
| 32.1 | 17.7 |
| 45.1 | 6.9 |
| 45.7 | 13.3 |
| 56.2 | 7.2 |
| 56.5 | 18.4 |
| 56.8 | 5.5 |
| 57.0 | 5.5 |
| 66.2 | 6.8 |

***

Record 12
Structure and simulated powder X-ray diffraction pattern of Ac4LaTe5 (the PBE geometry in Alexandria; copper Kα).
Peak positions follow from Bragg's law for the DFT cell and can differ from measured ones.

Structure:
Lattice parameters (Å, degrees): 19.332 19.332 19.332 14.00 14.00 14.00
Sites, in units of the cell vectors:
Ac1 0.102 0.102 0.102
Ac2 0.300 0.300 0.300
Ac3 0.700 0.700 0.700
Ac4 0.898 0.898 0.898
La1 0.500 0.500 0.500
Te1 0.000 0.000 0.000
Te2 0.198 0.198 0.198
Te3 0.401 0.401 0.401
Te4 0.599 0.599 0.599
Te5 0.802 0.802 0.802

Largest 10 diffraction maxima, in order of rising 2θ, 2θ = 5–70°:
| 2theta | Rel. int. |
| --- | --- |
| 23.2 | 10.7 |
| 26.8 | 100.0 |
| 38.2 | 39.7 |
| 38.3 | 38.3 |
| 47.3 | 21.6 |
| 47.5 | 6.8 |
| 55.2 | 13.4 |
| 62.4 | 19.0 |
| 62.5 | 17.9 |
| 69.1 | 20.8 |